No. 1
Diffraction record for TaV6Mo12. The XRD peak list is theoretical, not measured: it uses DFT lattice parameters and positions (PBE) and λ = 1.5418 Å (Cu Kα).

Cell and atoms:
```
data_TaV6Mo12
_chemical_formula_sum 'Ta1 V6 Mo12'
_cell_length_a 5.4033
_cell_length_b 6.7409
_cell_length_c 8.7375
_cell_angle_alpha 108.86
_cell_angle_beta 90.18
_cell_angle_gamma 97.46
_symmetry_space_group_name_H-M 'P 1'
_symmetry_Int_Tables_number 1
_symmetry_space_group_name_Hall 'P 1'
loop_
_atom_site_label
_atom_site_type_symbol
_atom_site_fract_x
_atom_site_fract_y
_atom_site_fract_z
Ta1 Ta 0.0000 0.0000 0.0000
V1 V 0.2813 0.7849 0.6842
V2 V 0.3876 0.3886 0.5825
V3 V 0.3921 0.3919 0.0898
V4 V 0.7822 0.7815 0.1891
V5 V 0.7832 0.7828 0.6811
V6 V 0.8866 0.3871 0.5837
Mo1 Mo 0.0897 0.5778 0.3894
Mo2 Mo 0.0907 0.5879 0.8824
Mo3 Mo 0.1895 0.1884 0.7816
Mo4 Mo 0.2885 0.7887 0.1879
Mo5 Mo 0.4869 0.9883 0.4853
Mo6 Mo 0.4957 0.9899 0.9872
Mo7 Mo 0.5879 0.5864 0.3902
Mo8 Mo 0.5930 0.5903 0.8824
Mo9 Mo 0.6804 0.1883 0.2892
Mo10 Mo 0.6881 0.1851 0.7837
Mo11 Mo 0.8886 0.3958 0.0907
Mo12 Mo 0.9893 0.9919 0.4799
```

Main lines, low angle first (2θ = 10–90°):
40.96 deg, intensity 34, (2 1 -2); 41.08 deg, intensity 68, (2 -2 0); 41.29 deg, intensity 100, (0 3 -2); 59.49 deg, intensity 11, (2 3 0); 59.61 deg, intensity 11, (-2 1 4); 59.78 deg, intensity 11, (2 -3 4); 74.53 deg, intensity 11, (-4 1 2); 75.00 deg, intensity 11, (2 4 -4); 75.10 deg, intensity 11, (-2 4 2); 75.22 deg, intensity 16, (2 -5 2)

No. 2
Diffraction record for LaThIn2. The XRD peak list is theoretical, not measured: it uses DFT lattice parameters and positions (PBE) and λ = 1.5418 Å (Cu Kα).

Cell and atoms:
```
data_LaThIn2
_chemical_formula_sum 'La2 Th2 In4'
_cell_length_a 5.7865
_cell_length_b 3.5443
_cell_length_c 11.6430
_cell_angle_alpha 90.00
_cell_angle_beta 90.00
_cell_angle_gamma 90.00
_symmetry_space_group_name_H-M 'P m m a'
_symmetry_Int_Tables_number 51
_symmetry_space_group_name_Hall '-P 2a 2a'
loop_
_atom_site_label
_atom_site_type_symbol
_atom_site_fract_x
_atom_site_fract_y
_atom_site_fract_z
La1 La 0.2500 0.0000 0.1218
Th1 Th 0.2500 0.0000 0.6191
In1 In 0.2500 0.5000 0.3718
In2 In 0.2500 0.5000 0.8683
```

Main lines, low angle first (2θ = 10–90°):
30.72 deg, intensity 31, (0 0 4); 30.91 deg, intensity 31, (2 0 0); 33.40 deg, intensity 100, (1 1 2); 44.13 deg, intensity 23, (2 0 4); 56.34 deg, intensity 22, (1 1 6); 56.58 deg, intensity 23, (3 1 2); 61.23 deg, intensity 9, (0 2 4); 61.35 deg, intensity 9, (2 2 0); 70.17 deg, intensity 11, (2 2 4); 74.32 deg, intensity 10, (3 1 6)

No. 3
Diffraction record for Sn4Te6Pb. The XRD peak list is theoretical, not measured: it uses DFT lattice parameters and positions (PBE) and λ = 1.5418 Å (Cu Kα).

Cell and atoms:
```
data_Sn4Te6Pb
_chemical_formula_sum 'Sn4 Te6 Pb1'
_cell_length_a 6.3985
_cell_length_b 6.5114
_cell_length_c 9.2216
_cell_angle_alpha 99.75
_cell_angle_beta 90.57
_cell_angle_gamma 90.72
_symmetry_space_group_name_H-M 'P 1'
_symmetry_Int_Tables_number 1
_symmetry_space_group_name_Hall 'P 1'
loop_
_atom_site_label
_atom_site_type_symbol
_atom_site_fract_x
_atom_site_fract_y
_atom_site_fract_z
Sn1 Sn 0.0000 0.0000 0.0000
Sn2 Sn 0.0177 0.3409 0.6341
Sn3 Sn 0.4719 0.4988 0.0078
Sn4 Sn 0.5089 0.8110 0.6343
Te1 Te 0.0083 0.4563 0.9731
Te2 Te 0.0112 0.8751 0.6603
Te3 Te 0.0125 0.9673 0.3201
Te4 Te 0.5087 0.9597 0.9793
Te5 Te 0.5203 0.3668 0.6735
Te6 Te 0.5410 0.5157 0.3237
Pb1 Pb 0.5032 0.0468 0.3261
```

Main lines, low angle first (2θ = 10–90°):
13.82 deg, intensity 10, (1 0 0); 27.87 deg, intensity 100, (2 0 0); 29.49 deg, intensity 47, (0 0 3); 31.08 deg, intensity 9, (0 2 1); 31.32 deg, intensity 10, (0 2 -2); 36.94 deg, intensity 10, (0 2 2); 37.21 deg, intensity 12, (0 2 -3); 40.07 deg, intensity 18, (2 2 -1); 40.77 deg, intensity 19, (2 0 -3); 41.30 deg, intensity 19, (2 0 3)